Record 1
Diffraction record for PmBeZn2Au5. The powder X-ray diffraction pattern is theoretical, not measured: it uses the PBE geometry in Alexandria and CuKα.
Neutral-atom scattering factors, no anomalous dispersion.

Cell and atoms:
```
data_PmBeZn2Au5
_chemical_formula_sum 'Pm2 Be2 Zn4 Au10'
_symmetry_space_group_name_H-M 'I m m m'
_symmetry_Int_Tables_number 71
_symmetry_space_group_name_Hall '-I 2 2'
_cell_length_a 4.500
_cell_length_b 6.034
_cell_length_c 13.074
_cell_angle_alpha 90.00
_cell_angle_beta 90.00
_cell_angle_gamma 90.00
loop_
_atom_site_label
_atom_site_fract_x
_atom_site_fract_y
_atom_site_fract_z
_atom_site_occupancy
Pm1 0.000 0.000 0.000 1
Be1 0.000 0.000 0.500 1
Zn1 0.000 0.500 0.198 1
Au1 0.000 0.260 0.362 1
Au2 0.000 0.500 0.000 1
```

Peak list (10 most intense, 2θ = 15–90°, low angle first)
2theta  d [Å]  I/Imax  (hkl)
28.5  3.131  94  1 0 3
36.5  2.461  100  1 2 1
39.9  2.261  30  1 0 5
40.1  2.250  40  2 0 0
40.7  2.217  60  0 2 4
41.6  2.172  18  1 2 3
58.4  1.579  42  2 2 4
62.0  1.498  27  1 2 7
69.1  1.359  15  1 4 3
70.5  1.336  15  3 2 1

=====

Record 2
Diffraction record for PrBe3Au6. The powder X-ray diffraction pattern is theoretical, not measured: it uses the PBE geometry in Alexandria and CuKα.
Neutral-atom scattering factors, no anomalous dispersion.

Cell and atoms:
```
data_PrBe3Au6
_chemical_formula_sum 'Pr3 Be9 Au18'
_symmetry_space_group_name_H-M 'R 3'
_symmetry_Int_Tables_number 146
_symmetry_space_group_name_Hall 'R 3'
_cell_length_a 5.7262
_cell_length_b 5.7262
_cell_length_c 18.4845
_cell_angle_alpha 90.00
_cell_angle_beta 90.00
_cell_angle_gamma 120.00
loop_
_atom_site_label
_atom_site_fract_x
_atom_site_fract_y
_atom_site_fract_z
_atom_site_occupancy
Pr1 0.0000 0.0000 0.0000 1
Be1 0.0000 0.0000 0.3092 1
Be2 0.0000 0.0000 0.6447 1
Be3 0.0000 0.0000 0.8401 1
Au1 0.0007 0.4117 0.8850 1
Au2 0.0024 0.5024 0.0764 1
```

Peak list (10 most intense, 2θ = 15–90°, low angle first)
2theta  d [Å]  I/Imax  (hkl)
26.4  3.381  34  1 0 4
29.0  3.081  61  0 0 6
30.2  2.964  38  0 1 5
31.2  2.863  38  1 1 0
34.5  2.596  58  1 1 3
36.6  2.458  100  0 2 1
37.6  2.395  30  2 0 2
41.3  2.185  33  0 2 4
43.1  2.097  62  2 -1 6
44.0  2.059  50  2 0 5

=====

Record 3
Diffraction record for PrBe2Au6. The powder X-ray diffraction pattern is theoretical, not measured: it uses the PBE geometry in Alexandria and CuKα.
Neutral-atom scattering factors, no anomalous dispersion.

Cell and atoms:
```
data_PrBe2Au6
_chemical_formula_sum 'Pr1 Be2 Au6'
_symmetry_space_group_name_H-M 'P 6/m m m'
_symmetry_Int_Tables_number 191
_symmetry_space_group_name_Hall '-P 6 2'
_cell_length_a 5.9083
_cell_length_b 5.9083
_cell_length_c 6.0690
_cell_angle_alpha 90.00
_cell_angle_beta 90.00
_cell_angle_gamma 120.00
loop_
_atom_site_label
_atom_site_fract_x
_atom_site_fract_y
_atom_site_fract_z
_atom_site_occupancy
Pr1 0.0000 0.0000 0.0000 1
Be1 0.3333 0.6667 0.5000 1
Au1 0.0000 0.5000 0.2389 1
```

Peak list (10 most intense, 2θ = 15–90°, low angle first)
2theta  d [Å]  I/Imax  (hkl)
17.3  5.117  21  1 0 0
29.4  3.034  31  0 0 2
34.4  2.610  34  1 0 2
35.1  2.558  100  2 0 0
42.7  2.117  20  1 1 2
46.4  1.956  57  2 0 2
56.4  1.631  16  2 1 2
62.9  1.477  19  2 2 0
71.0  1.328  16  2 2 2
72.4  1.305  24  2 0 4

=====

Record 4
Diffraction record for RbYBeAu2. The powder X-ray diffraction pattern is theoretical, not measured: it uses the PBE geometry in Alexandria and CuKα.
Neutral-atom scattering factors, no anomalous dispersion.

Cell and atoms:
```
data_RbYBeAu2
_chemical_formula_sum 'Rb1 Y1 Be1 Au2'
_symmetry_space_group_name_H-M 'P 4/m m m'
_symmetry_Int_Tables_number 123
_symmetry_space_group_name_Hall '-P 4 2'
_cell_length_a 5.557
_cell_length_b 5.557
_cell_length_c 4.925
_cell_angle_alpha 90.00
_cell_angle_beta 90.00
_cell_angle_gamma 90.00
loop_
_atom_site_label
_atom_site_fract_x
_atom_site_fract_y
_atom_site_fract_z
_atom_site_occupancy
Rb1 0.000 0.000 0.000 1
Y1 0.500 0.500 0.500 1
Be1 0.000 0.000 0.500 1
Au1 0.000 0.500 0.000 1
```

Peak list (10 most intense, 2θ = 15–90°, low angle first)
2theta  d [Å]  I/Imax  (hkl)
18.0  4.925  68  0 0 1
24.1  3.686  29  1 0 1
29.1  3.072  100  1 1 1
32.2  2.779  78  2 0 0
36.5  2.463  28  0 0 2
37.2  2.420  48  2 0 1
46.2  1.965  29  2 2 0
49.5  1.843  47  2 0 2
55.5  1.655  33  3 1 1
60.3  1.536  26  2 2 2

=====

Record 5
Diffraction record for Be2ReAu4. The powder X-ray diffraction pattern is theoretical, not measured: it uses the PBE geometry in Alexandria and CuKα.
Neutral-atom scattering factors, no anomalous dispersion.

Cell and atoms:
```
data_Be2ReAu4
_chemical_formula_sum 'Be4 Re2 Au8'
_symmetry_space_group_name_H-M 'I 4/m m m'
_symmetry_Int_Tables_number 139
_symmetry_space_group_name_Hall '-I 4 2'
_cell_length_a 5.000
_cell_length_b 5.000
_cell_length_c 11.894
_cell_angle_alpha 90.00
_cell_angle_beta 90.00
_cell_angle_gamma 90.00
loop_
_atom_site_label
_atom_site_fract_x
_atom_site_fract_y
_atom_site_fract_z
_atom_site_occupancy
Be1 0.000 0.000 0.089 1
Re1 0.000 0.000 0.500 1
Au1 0.000 0.000 0.273 1
Au2 0.000 0.500 0.000 1
```

Peak list (10 most intense, 2θ = 15–90°, low angle first)
2theta  d [Å]  I/Imax  (hkl)
19.3  4.609  42  1 0 1
29.4  3.039  100  1 1 2
30.1  2.973  56  0 0 4
35.9  2.500  85  2 0 0
42.1  2.148  24  1 0 5
47.5  1.913  65  2 0 4
51.7  1.768  30  2 2 0
56.5  1.629  20  2 1 5
60.6  1.528  27  3 1 2
61.0  1.519  31  2 2 4

=====

Record 6
Diffraction record for BeZnRuAu. The powder X-ray diffraction pattern is theoretical, not measured: it uses the PBE geometry in Alexandria and CuKα.
Neutral-atom scattering factors, no anomalous dispersion.

Cell and atoms:
```
data_BeZnRuAu
_chemical_formula_sum 'Be4 Zn4 Ru4 Au4'
_symmetry_space_group_name_H-M 'F -4 3 m'
_symmetry_Int_Tables_number 216
_symmetry_space_group_name_Hall 'F -4 2 3'
_cell_length_a 5.970
_cell_length_b 5.970
_cell_length_c 5.970
_cell_angle_alpha 90.00
_cell_angle_beta 90.00
_cell_angle_gamma 90.00
loop_
_atom_site_label
_atom_site_fract_x
_atom_site_fract_y
_atom_site_fract_z
_atom_site_occupancy
Be1 0.000 0.000 0.000 1
Zn1 0.000 0.000 0.500 1
Ru1 0.250 0.250 0.750 1
Au1 0.250 0.250 0.250 1
```

Peak list (10 most intense, 2θ = 15–90°, low angle first)
2theta  d [Å]  I/Imax  (hkl)
25.9  3.447  23  1 1 1
29.9  2.985  46  2 0 0
42.8  2.111  100  2 2 0
50.7  1.800  12  3 1 1
53.1  1.723  13  2 2 2
62.2  1.492  16  4 0 0
68.5  1.370  5  3 3 1
70.6  1.335  17  4 2 0
78.5  1.219  34  4 2 2
84.3  1.149  4  5 1 1

=====

Record 7
Diffraction record for BeZnAu2S. The powder X-ray diffraction pattern is theoretical, not measured: it uses the PBE geometry in Alexandria and CuKα.
Neutral-atom scattering factors, no anomalous dispersion.

Cell and atoms:
```
data_BeZnAu2S
_chemical_formula_sum 'Be1 Zn1 Au2 S1'
_symmetry_space_group_name_H-M 'P 1'
_symmetry_Int_Tables_number 1
_symmetry_space_group_name_Hall 'P 1'
_cell_length_a 3.315
_cell_length_b 5.534
_cell_length_c 5.571
_cell_angle_alpha 61.87
_cell_angle_beta 80.05
_cell_angle_gamma 82.08
loop_
_atom_site_label
_atom_site_fract_x
_atom_site_fract_y
_atom_site_fract_z
_atom_site_occupancy
Be1 0.000 0.000 0.000 1
Zn1 0.451 0.377 0.501 1
Au1 0.026 0.052 0.406 1
Au2 0.866 0.467 0.822 1
S1 0.539 0.766 0.056 1
```

Peak list (10 most intense, 2θ = 15–90°, low angle first)
2theta  d [Å]  I/Imax  (hkl)
18.2  4.873  59  0 1 0
18.9  4.684  88  0 1 1
27.4  3.258  46  1 0 0
30.5  2.935  51  1 1 1
31.4  2.853  100  0 1 -1
32.7  2.739  64  0 2 1
36.3  2.473  82  -1 1 1
36.9  2.436  68  0 0 2
39.1  2.306  49  1 1 2
51.3  1.780  47  0 3 2

=====

Record 8
Diffraction record for BeZnAu2S. The powder X-ray diffraction pattern is theoretical, not measured: it uses the PBE geometry in Alexandria and CuKα.
Neutral-atom scattering factors, no anomalous dispersion.

Cell and atoms:
```
data_BeZnAu2S
_chemical_formula_sum 'Be1 Zn1 Au2 S1'
_symmetry_space_group_name_H-M 'P 1 m 1'
_symmetry_Int_Tables_number 6
_symmetry_space_group_name_Hall 'P -2y'
_cell_length_a 3.735
_cell_length_b 3.193
_cell_length_c 7.539
_cell_angle_alpha 90.00
_cell_angle_beta 102.70
_cell_angle_gamma 90.00
loop_
_atom_site_label
_atom_site_fract_x
_atom_site_fract_y
_atom_site_fract_z
_atom_site_occupancy
Be1 0.000 0.000 0.000 1
Zn1 0.267 0.500 0.479 1
Au1 0.454 0.500 0.863 1
Au2 0.846 0.000 0.642 1
S1 0.129 0.500 0.159 1
```

Peak list (10 most intense, 2θ = 15–90°, low angle first)
2theta  d [Å]  I/Imax  (hkl)
29.7  3.012  52  1 0 1
30.5  2.930  84  1 0 -2
37.3  2.411  81  0 1 2
37.4  2.401  100  1 1 0
37.7  2.387  91  1 1 -1
38.4  2.343  52  1 0 2
39.5  2.279  51  1 0 -3
46.7  1.945  58  0 1 3
48.8  1.867  32  2 0 -1
57.7  1.597  20  0 2 0

=====

Record 9
Diffraction record for BeZnAu2S. The powder X-ray diffraction pattern is theoretical, not measured: it uses the PBE geometry in Alexandria and CuKα.
Neutral-atom scattering factors, no anomalous dispersion.

Cell and atoms:
```
data_BeZnAu2S
_chemical_formula_sum 'Be3 Zn3 Au6 S3'
_symmetry_space_group_name_H-M 'R 3 m'
_symmetry_Int_Tables_number 160
_symmetry_space_group_name_Hall 'R 3 -2"'
_cell_length_a 3.3322
_cell_length_b 3.3322
_cell_length_c 26.8271
_cell_angle_alpha 90.00
_cell_angle_beta 90.00
_cell_angle_gamma 120.00
loop_
_atom_site_label
_atom_site_fract_x
_atom_site_fract_y
_atom_site_fract_z
_atom_site_occupancy
Be1 0.0000 0.0000 0.0000 1
Zn1 0.0000 0.0000 0.2659 1
Au1 0.0000 0.0000 0.4582 1
Au2 0.0000 0.0000 0.8689 1
S1 0.0000 0.0000 0.3588 1
```

Peak list (10 most intense, 2θ = 15–90°, low angle first)
2theta  d [Å]  I/Imax  (hkl)
31.7  2.821  91  0 1 2
35.3  2.541  100  0 1 5
39.1  2.305  47  1 0 7
40.3  2.236  20  0 0 12
41.3  2.187  25  0 1 8
46.2  1.965  58  1 0 10
55.1  1.666  39  1 1 0
56.2  1.638  18  1 1 3
70.5  1.336  24  1 1 12
78.5  1.219  18  1 1 15

=====

Record 10
Diffraction record for BeSbAu. The powder X-ray diffraction pattern is theoretical, not measured: it uses the PBE geometry in Alexandria and CuKα.
Neutral-atom scattering factors, no anomalous dispersion.

Cell and atoms:
```
data_BeSbAu
_chemical_formula_sum 'Be4 Sb4 Au4'
_symmetry_space_group_name_H-M 'P n m a'
_symmetry_Int_Tables_number 62
_symmetry_space_group_name_Hall '-P 2ac 2n'
_cell_length_a 8.493
_cell_length_b 4.078
_cell_length_c 6.711
_cell_angle_alpha 90.00
_cell_angle_beta 90.00
_cell_angle_gamma 90.00
loop_
_atom_site_label
_atom_site_fract_x
_atom_site_fract_y
_atom_site_fract_z
_atom_site_occupancy
Be1 0.045 0.250 0.240 1
Sb1 0.158 0.750 0.487 1
Au1 0.109 0.750 0.067 1
```

Peak list (10 most intense, 2θ = 15–90°, low angle first)
2theta  d [Å]  I/Imax  (hkl)
16.8  5.266  23  1 0 1
24.8  3.588  16  2 0 1
26.6  3.356  46  0 0 2
30.4  2.941  100  2 1 0
40.8  2.212  58  2 1 2
41.1  2.197  19  3 1 1
44.4  2.039  21  0 2 0
45.8  1.979  16  2 0 3
46.3  1.961  18  0 1 3
65.7  1.420  16  2 2 3

=====

Record 11
Diffraction record for BeSbAu. The powder X-ray diffraction pattern is theoretical, not measured: it uses the PBE geometry in Alexandria and CuKα.
Neutral-atom scattering factors, no anomalous dispersion.

Cell and atoms:
```
data_BeSbAu
_chemical_formula_sum 'Be4 Sb4 Au4'
_symmetry_space_group_name_H-M 'A m m 2'
_symmetry_Int_Tables_number 38
_symmetry_space_group_name_Hall 'A 2 -2'
_cell_length_a 8.814
_cell_length_b 4.256
_cell_length_c 7.338
_cell_angle_alpha 90.00
_cell_angle_beta 90.00
_cell_angle_gamma 90.00
loop_
_atom_site_label
_atom_site_fract_x
_atom_site_fract_y
_atom_site_fract_z
_atom_site_occupancy
Be1 0.250 0.000 0.000 1
Sb1 0.250 0.000 0.345 1
Au1 0.000 0.000 0.116 1
Au2 0.500 0.000 0.116 1
```

Peak list (10 most intense, 2θ = 15–90°, low angle first)
2theta  d [Å]  I/Imax  (hkl)
24.2  3.681  67  0 1 1
31.7  2.822  100  2 0 2
41.0  2.204  14  4 0 0
42.5  2.128  13  0 2 0
42.6  2.121  8  0 1 3
47.6  1.911  26  2 1 3
48.1  1.891  22  4 1 1
54.0  1.699  24  2 2 2
60.5  1.531  9  4 2 0
68.8  1.364  11  6 0 2

=====

Record 12
Diffraction record for ScBe5Au7. The powder X-ray diffraction pattern is theoretical, not measured: it uses the PBE geometry in Alexandria and CuKα.
Neutral-atom scattering factors, no anomalous dispersion.

Cell and atoms:
```
data_ScBe5Au7
_chemical_formula_sum 'Sc2 Be10 Au14'
_symmetry_space_group_name_H-M 'I m m 2'
_symmetry_Int_Tables_number 44
_symmetry_space_group_name_Hall 'I 2 -2'
_cell_length_a 5.005
_cell_length_b 8.627
_cell_length_c 8.821
_cell_angle_alpha 90.00
_cell_angle_beta 90.00
_cell_angle_gamma 90.00
loop_
_atom_site_label
_atom_site_fract_x
_atom_site_fract_y
_atom_site_fract_z
_atom_site_occupancy
Sc1 0.000 0.000 0.000 1
Be1 0.000 0.500 0.256 1
Be2 0.250 0.250 0.236 1
Au1 0.000 0.000 0.341 1
Au2 0.000 0.000 0.678 1
Au3 0.000 0.315 0.463 1
Au4 0.000 0.335 0.016 1
Au5 0.000 0.500 0.720 1
```

Peak list (10 most intense, 2θ = 15–90°, low angle first)
2theta  d [Å]  I/Imax  (hkl)
28.9  3.085  100  0 2 2
29.1  3.064  24  1 2 1
35.4  2.535  58  1 0 3
35.9  2.502  74  2 0 0
36.0  2.493  74  1 3 0
41.3  2.186  32  1 2 3
41.6  2.171  59  1 3 2
46.2  1.965  29  1 1 4
46.7  1.943  47  2 2 2
76.1  1.251  22  4 0 0

=====

Record 13
Diffraction record for Be6SiAu12. The powder X-ray diffraction pattern is theoretical, not measured: it uses the PBE geometry in Alexandria and CuKα.
Neutral-atom scattering factors, no anomalous dispersion.

Cell and atoms:
```
data_Be6SiAu12
_chemical_formula_sum 'Be12 Si2 Au24'
_symmetry_space_group_name_H-M 'I m -3'
_symmetry_Int_Tables_number 204
_symmetry_space_group_name_Hall '-I 2 2 3'
_cell_length_a 8.324
_cell_length_b 8.324
_cell_length_c 8.324
_cell_angle_alpha 90.00
_cell_angle_beta 90.00
_cell_angle_gamma 90.00
loop_
_atom_site_label
_atom_site_fract_x
_atom_site_fract_y
_atom_site_fract_z
_atom_site_occupancy
Be1 0.000 0.132 0.500 1
Si1 0.000 0.000 0.000 1
Au1 0.000 0.298 0.175 1
```

Peak list (10 most intense, 2θ = 15–90°, low angle first)
2theta  d [Å]  I/Imax  (hkl)
30.4  2.943  33  2 2 0
34.1  2.632  100  3 0 1
37.4  2.403  37  2 2 2
40.6  2.225  91  3 1 2
46.3  1.962  14  3 3 0
48.9  1.861  20  4 2 0
65.4  1.427  59  5 3 0
67.5  1.387  11  6 0 0
69.6  1.350  34  5 2 3
81.8  1.177  15  7 0 1

=====

Record 14
Diffraction record for SmBeZn2Au4. The powder X-ray diffraction pattern is theoretical, not measured: it uses the PBE geometry in Alexandria and CuKα.
Neutral-atom scattering factors, no anomalous dispersion.

Cell and atoms:
```
data_SmBeZn2Au4
_chemical_formula_sum 'Sm3 Be3 Zn6 Au12'
_symmetry_space_group_name_H-M 'R -3 m'
_symmetry_Int_Tables_number 166
_symmetry_space_group_name_Hall '-R 3 2"'
_cell_length_a 4.4734
_cell_length_b 4.4734
_cell_length_c 24.9303
_cell_angle_alpha 90.00
_cell_angle_beta 90.00
_cell_angle_gamma 120.00
loop_
_atom_site_label
_atom_site_fract_x
_atom_site_fract_y
_atom_site_fract_z
_atom_site_occupancy
Sm1 0.0000 0.0000 0.0000 1
Be1 0.0000 0.0000 0.5000 1
Zn1 0.0000 0.0000 0.2469 1
Au1 0.0000 0.0000 0.1358 1
Au2 0.0000 0.0000 0.4024 1
```

Peak list (10 most intense, 2θ = 15–90°, low angle first)
2theta  d [Å]  I/Imax  (hkl)
27.1  3.290  35  1 0 4
29.2  3.059  29  0 1 5
34.2  2.622  58  1 0 7
37.0  2.428  54  0 1 8
40.3  2.237  100  1 1 0
46.4  1.956  23  0 1 11
53.9  1.702  16  0 2 7
55.9  1.645  16  2 0 8
70.6  1.334  25  1 1 15
73.3  1.291  17  3 0 0